# 1
Diffraction record for Ca4TcPb. The X-ray diffraction stick pattern is computed, not measured: it uses a crystal structure in Alexandria, relaxed with PBE and copper Kα.
Lines closer than 0.1° are merged.

abc: 9.0581 9.0581 9.0581
angles: 90.00 90.00 90.00
Space group F-43m (No. 216)
Asymmetric unit:
1 Ca 0.1239 0.1239 0.3761 (multiplicity 16)
2 Tc 0.2500 0.2500 0.7500 (multiplicity 4)
3 Pb 0.0000 0.0000 0.0000 (multiplicity 4)

Principal peaks in the range 10° ≤ 2θ ≤ 90°, by intensity:
| two_theta | I_rel |
| --- | --- |
| 32.79 | 1000 |
| 27.86 | 740 |
| 16.95 | 349 |
| 52.49 | 346 |
| 49.28 | 313 |
| 57.56 | 225 |
| 81.65 | 214 |
| 79.12 | 160 |
| 65.13 | 136 |
| 34.29 | 122 |

=====

# 2
Diffraction record for Dy3PaRu3. The X-ray diffraction stick pattern is computed, not measured: it uses a crystal structure in Alexandria, relaxed with PBE and copper Kα.
Lines closer than 0.1° are merged.

abc: 9.4611 9.4611 5.9930
angles: 90.00 90.00 120.00
Space group R3m (No. 160, hexagonal axes)
Asymmetric unit:
1 Dy 0.1997 0.3995 0.0000 (multiplicity 9)
2 Pa 0.0000 0.0000 0.8069 (multiplicity 3)
3 Ru 0.1804 0.3608 0.5180 (multiplicity 9)

Principal peaks in the range 10° ≤ 2θ ≤ 90°, by intensity:
| two_theta | I_rel |
| --- | --- |
| 38.04 | 1000 |
| 37.17 | 921 |
| 32.55 | 665 |
| 31.80 | 638 |
| 57.91 | 595 |
| 32.79 | 515 |
| 26.35 | 329 |
| 42.55 | 213 |
| 82.30 | 205 |
| 41.95 | 186 |

=====

# 3
Diffraction record for Ti7InN2. The X-ray diffraction stick pattern is computed, not measured: it uses a crystal structure in Alexandria, relaxed with PBE and copper Kα.
Lines closer than 0.1° are merged.

abc: 6.8135 11.0662 4.0741
angles: 90.00 90.00 90.00
Space group Cmmm (No. 65)
Asymmetric unit:
1 Ti 0.0000 0.0000 0.0000 (multiplicity 2)
2 Ti 0.0000 0.2211 0.5000 (multiplicity 4)
3 Ti 0.2040 0.3629 0.0000 (multiplicity 8)
4 In 0.0000 0.5000 0.5000 (multiplicity 2)
5 N 0.0000 0.2038 0.0000 (multiplicity 4)

Principal peaks in the range 10° ≤ 2θ ≤ 90°, by intensity:
| two_theta | I_rel |
| --- | --- |
| 35.37 | 1000 |
| 34.31 | 836 |
| 42.07 | 824 |
| 39.37 | 619 |
| 26.74 | 531 |
| 44.48 | 494 |
| 46.51 | 478 |
| 62.88 | 461 |
| 15.27 | 405 |
| 78.42 | 259 |